The following is a simulated X-ray powder pattern of Ac2CrCdO5. It was derived from a PBE+U-relaxed structure, using a wavelength of 1.5418 Å.
Kinematic intensities with the Lorentz-polarization factor, no thermal factor.

Structural model:
```
data_Ac2CrCdO5
_chemical_formula_sum 'Ac4 Cr2 Cd2 O10'
_cell_length_a 7.273
_cell_length_b 7.273
_cell_length_c 5.791
_cell_angle_alpha 90.00
_cell_angle_beta 90.00
_cell_angle_gamma 90.00
_space_group_name_H-M_alt 'P 4/m b m'
_space_group_IT_number 127
_space_group_name_Hall '-P 4 2ab'
loop_
_atom_site_label
_atom_site_type_symbol
_atom_site_fract_x
_atom_site_fract_y
_atom_site_fract_z
Ac1 Ac 0.182 0.318 0.000
Cr1 Cr 0.000 0.500 0.500
Cd1 Cd 0.000 0.000 0.500
O1 O 0.000 0.000 0.000
O2 O 0.128 0.628 0.259
```

Principal peaks in the range 5 to 70 degrees two-theta, in order of rising 2θ:
Position (°2θ)  d/Å  Rel. int.  index
15.30  5.791  45  0 0 1
27.42  3.252  38  2 1 0
29.00  3.079  100  2 0 1
30.88  2.895  34  0 0 2
31.55  2.836  78  2 1 1
34.89  2.571  22  2 2 0
39.17  2.300  19  3 1 0
41.77  2.163  48  2 1 2
54.37  1.687  29  4 1 1
61.57  1.506  20  4 1 2